For Li7NbS6, a crystal structure in the Materials Project, relaxed with GGA-PBE gives the theoretical powder XRD pattern in this record (Cu Kα X-rays).
Peak positions follow from Bragg's law for the DFT cell and can differ from measured ones.

The 6 most intense peaks (15 to 90 degrees two-theta), low angle first:
(1 0 -2), 15.21 deg, rel. 526
(1 1 -1), 17.36 deg, rel. 505
(1 1 1), 24.32 deg, rel. 705
(1 1 -3), 24.77 deg, rel. 1000
(0 2 2), 30.13 deg, rel. 516
(3 1 -1), 43.06 deg, rel. 489

Structural model:
```
data_Li7NbS6
_space_group_name_H-M_alt 'P 1 c 1'
_space_group_IT_number 7
_cell_length_a 7.191
_cell_length_b 7.256
_cell_length_c 12.417
_cell_angle_alpha 90.00
_cell_angle_beta 123.92
_cell_angle_gamma 90.00
loop_
_space_group_symop_operation_xyz
'x,y,z'
'x,-y,z+1/2'
loop_
_atom_site_label
_atom_site_type_symbol
_atom_site_fract_x
_atom_site_fract_y
_atom_site_fract_z
Li1 Li 0.000 0.018 0.000
Li2 Li 0.016 0.416 0.919
Li3 Li 0.180 0.477 0.715
Li4 Li 0.388 0.132 0.901
Li5 Li 0.648 0.234 0.752
Li6 Li 0.707 0.407 0.532
Li7 Li 0.896 0.092 0.188
Nb1 Nb 0.513 0.254 0.229
S1 S 0.354 0.239 0.344
S2 S 0.388 0.483 0.606
S3 S 0.406 0.003 0.095
S4 S 0.770 0.269 0.982
S5 S 0.894 0.256 0.368
S6 S 0.987 0.237 0.740
```



For Li7NbS6, a crystal structure in the Materials Project, relaxed with GGA-PBE gives the theoretical powder XRD pattern in this record (Cu Kα X-rays).
Peak positions follow from Bragg's law for the DFT cell and can differ from measured ones.

The 6 most intense peaks (15 to 90 degrees two-theta), low angle first:
(1 0 0), 15.05 deg, rel. 647
(1 0 -2), 15.36 deg, rel. 954
(1 1 -1), 17.10 deg, rel. 973
(1 1 1), 24.41 deg, rel. 907
(1 1 -3), 24.80 deg, rel. 1000
(0 2 2), 29.54 deg, rel. 950

Structural model:
```
data_Li7NbS6
_space_group_name_H-M_alt 'P 1 c 1'
_space_group_IT_number 7
_cell_length_a 7.135
_cell_length_b 7.553
_cell_length_c 12.243
_cell_angle_alpha 90.00
_cell_angle_beta 124.41
_cell_angle_gamma 90.00
loop_
_space_group_symop_operation_xyz
'x,y,z'
'x,-y,z+1/2'
loop_
_atom_site_label
_atom_site_type_symbol
_atom_site_fract_x
_atom_site_fract_y
_atom_site_fract_z
Li1 Li 0.000 0.022 0.000
Li2 Li 0.116 0.360 0.672
Li3 Li 0.180 0.241 0.412
Li4 Li 0.470 0.135 0.267
Li5 Li 0.507 0.442 0.386
Li6 Li 0.806 0.372 0.214
Li7 Li 0.957 0.401 0.976
Nb1 Nb 0.597 0.234 0.696
S1 S 0.134 0.308 0.204
S2 S 0.416 0.008 0.065
S3 S 0.440 0.480 0.565
S4 S 0.525 0.234 0.856
S5 S 0.847 0.282 0.424
S6 S 0.982 0.234 0.808
```



For Li2NbS3, a crystal structure in the Materials Project, relaxed with GGA-PBE gives the theoretical powder XRD pattern in this record (Cu Kα X-rays).
Peak positions follow from Bragg's law for the DFT cell and can differ from measured ones.

The 6 most intense peaks (15 to 90 degrees two-theta), low angle first:
(1 1 0), 16.66 deg, rel. 494
(2 0 0), 29.14 deg, rel. 427
(1 3 -3), 34.70 deg, rel. 1000
(2 0 2), 35.20 deg, rel. 527
(1 3 5), 49.76 deg, rel. 314
(3 3 -1), 50.76 deg, rel. 310

Structural model:
```
data_Li2NbS3
_space_group_name_H-M_alt 'C 1 2/c 1'
_space_group_IT_number 15
_cell_length_a 6.246
_cell_length_b 10.721
_cell_length_c 12.464
_cell_angle_alpha 90.00
_cell_angle_beta 101.14
_cell_angle_gamma 90.00
loop_
_space_group_symop_operation_xyz
'x,y,z'
'-x,-y,-z'
'-x,y,-z+1/2'
'x,-y,z+1/2'
'x+1/2,y+1/2,z'
'-x+1/2,-y+1/2,-z'
'-x+1/2,y+1/2,-z+1/2'
'x+1/2,-y+1/2,z+1/2'
loop_
_atom_site_label
_atom_site_type_symbol
_atom_site_fract_x
_atom_site_fract_y
_atom_site_fract_z
Li1 Li 0.000 0.087 0.250
Li2 Li 0.235 0.087 0.999
Li3 Li 0.250 0.250 0.500
Nb1 Nb 0.000 0.273 0.750
Nb2 Nb 0.000 0.446 0.250
S1 S 0.119 0.414 0.620
S2 S 0.138 0.088 0.635
S3 S 0.138 0.261 0.136
```



For Li2NbS3, a crystal structure in the Materials Project, relaxed with GGA-PBE gives the theoretical powder XRD pattern in this record (Cu Kα X-rays).
Peak positions follow from Bragg's law for the DFT cell and can differ from measured ones.

The 6 most intense peaks (15 to 90 degrees two-theta), low angle first:
(0 2 0), 16.41 deg, rel. 283
(1 3 0), 29.19 deg, rel. 296
(1 3 1), 34.96 deg, rel. 1000
(2 0 -2), 35.09 deg, rel. 575
(1 3 -3), 49.31 deg, rel. 349
(3 3 -1), 51.42 deg, rel. 309

Structural model:
```
data_Li2NbS3
_space_group_name_H-M_alt 'C 1 2/m 1'
_space_group_IT_number 12
_cell_length_a 6.131
_cell_length_b 10.802
_cell_length_c 6.462
_cell_angle_alpha 90.00
_cell_angle_beta 108.87
_cell_angle_gamma 90.00
loop_
_space_group_symop_operation_xyz
'x,y,z'
'-x,-y,-z'
'-x,y,-z'
'x,-y,z'
'x+1/2,y+1/2,z'
'-x+1/2,-y+1/2,-z'
'-x+1/2,y+1/2,-z'
'x+1/2,-y+1/2,z'
loop_
_atom_site_label
_atom_site_type_symbol
_atom_site_fract_x
_atom_site_fract_y
_atom_site_fract_z
Li1 Li 0.000 0.000 0.000
Li2 Li 0.000 0.162 0.500
Li3 Li 0.000 0.500 0.500
Nb1 Nb 0.000 0.323 0.000
S1 S 0.235 0.500 0.230
S2 S 0.249 0.329 0.755
```



For Li7NbS6, a crystal structure in the Materials Project, relaxed with GGA-PBE gives the theoretical powder XRD pattern in this record (Cu Kα X-rays).
Peak positions follow from Bragg's law for the DFT cell and can differ from measured ones.

The 6 most intense peaks (15 to 90 degrees two-theta), low angle first:
(1 1 1), 15.07 deg, rel. 965
(2 2 0), 24.73 deg, rel. 1000
(3 1 1), 29.09 deg, rel. 365
(2 2 2), 30.41 deg, rel. 502
(4 2 2), 43.55 deg, rel. 432
(4 4 0), 50.72 deg, rel. 396

Structural model:
```
data_Li7NbS6
_space_group_name_H-M_alt 'P 21 3'
_space_group_IT_number 198
_space_group_name_Hall 'P 2ac 2ab 3'
_cell_length_a 10.182
_cell_length_b 10.182
_cell_length_c 10.182
_cell_angle_alpha 90.00
_cell_angle_beta 90.00
_cell_angle_gamma 90.00
loop_
_atom_site_label
_atom_site_type_symbol
_atom_site_fract_x
_atom_site_fract_y
_atom_site_fract_z
Li1 Li 0.010 0.281 0.190
Li2 Li 0.022 0.835 0.678
Li3 Li 0.116 0.616 0.884
Nb1 Nb 0.009 0.491 0.509
S1 S 0.026 0.974 0.474
S2 S 0.111 0.122 0.854
S3 S 0.138 0.362 0.638
S4 S 0.245 0.245 0.245
```



For Li2NbS3, a crystal structure in the Materials Project, relaxed with GGA-PBE gives the theoretical powder XRD pattern in this record (Cu Kα X-rays).
Peak positions follow from Bragg's law for the DFT cell and can differ from measured ones.

The 6 most intense peaks (15 to 90 degrees two-theta), low angle first:
(0 1 0), 16.41 deg, rel. 355
(1 0 0), 17.23 deg, rel. 355
(1 -1 0), 29.12 deg, rel. 503
(1 2 -1), 34.70 deg, rel. 1000
(-1 1 1), 35.18 deg, rel. 529
(2 1 -2), 49.78 deg, rel. 313

Structural model:
```
data_Li2NbS3
_space_group_name_H-M_alt 'P -1'
_space_group_IT_number 2
_cell_length_a 6.205
_cell_length_b 6.208
_cell_length_c 6.479
_cell_angle_alpha 81.67
_cell_angle_beta 70.59
_cell_angle_gamma 60.52
loop_
_space_group_symop_operation_xyz
'x,y,z'
'-x,-y,-z'
loop_
_atom_site_label
_atom_site_type_symbol
_atom_site_fract_x
_atom_site_fract_y
_atom_site_fract_z
Li1 Li 0.000 0.000 0.000
Li2 Li 0.136 0.685 0.497
Li3 Li 0.500 0.000 0.500
Nb1 Nb 0.359 0.361 0.002
S1 S 0.074 0.353 0.771
S2 S 0.276 0.997 0.229
S3 S 0.425 0.660 0.740
```



For LiNbSe2, a crystal structure in the Materials Project, relaxed with GGA-PBE gives the theoretical powder XRD pattern in this record (Cu Kα X-rays).
Peak positions follow from Bragg's law for the DFT cell and can differ from measured ones.

The 6 most intense peaks (15 to 90 degrees two-theta), low angle first:
(1 0 1), 29.95 deg, rel. 632
(1 0 2), 32.07 deg, rel. 415
(1 0 3), 35.34 deg, rel. 354
(1 0 4), 39.53 deg, rel. 1000
(1 1 0), 51.80 deg, rel. 455
(1 1 8), 77.73 deg, rel. 268

Structural model:
```
data_LiNbSe2
_space_group_name_H-M_alt 'P 63/m m c'
_space_group_IT_number 194
_space_group_name_Hall '-P 6c 2c'
_cell_length_a 3.5296
_cell_length_b 3.5296
_cell_length_c 13.6901
_cell_angle_alpha 90.00
_cell_angle_beta 90.00
_cell_angle_gamma 120.00
loop_
_atom_site_label
_atom_site_type_symbol
_atom_site_fract_x
_atom_site_fract_y
_atom_site_fract_z
Li1 Li 0.0000 0.0000 0.0000
Nb1 Nb 0.0000 0.0000 0.2500
Se1 Se 0.3333 0.6667 0.1275
```



For Li3Nd, a crystal structure in the Materials Project, relaxed with GGA-PBE gives the theoretical powder XRD pattern in this record (Cu Kα X-rays).
Peak positions follow from Bragg's law for the DFT cell and can differ from measured ones.

The 6 most intense peaks (15 to 90 degrees two-theta), low angle first:
(1 1 1), 20.98 deg, rel. 1000
(2 0 0), 24.27 deg, rel. 528
(2 2 0), 34.59 deg, rel. 558
(3 1 1), 40.81 deg, rel. 538
(3 3 1), 54.54 deg, rel. 231
(4 2 0), 56.08 deg, rel. 212

Structural model:
```
data_Li3Nd
_space_group_name_H-M_alt 'F m -3 m'
_space_group_IT_number 225
_space_group_name_Hall '-F 4 2 3'
_cell_length_a 7.334
_cell_length_b 7.334
_cell_length_c 7.334
_cell_angle_alpha 90.00
_cell_angle_beta 90.00
_cell_angle_gamma 90.00
loop_
_atom_site_label
_atom_site_type_symbol
_atom_site_fract_x
_atom_site_fract_y
_atom_site_fract_z
Li1 Li 0.000 0.000 0.000
Li2 Li 0.250 0.250 0.250
Nd1 Nd 0.000 0.000 0.500
```



For LiNdO3, a crystal structure in the Materials Project, relaxed with GGA-PBE gives the theoretical powder XRD pattern in this record (Cu Kα X-rays).
Peak positions follow from Bragg's law for the DFT cell and can differ from measured ones.

The 6 most intense peaks (15 to 90 degrees two-theta), low angle first:
(1 0 0), 23.59 deg, rel. 1000
(1 1 0), 33.60 deg, rel. 971
(1 1 1), 41.46 deg, rel. 719
(2 0 0), 48.25 deg, rel. 376
(2 1 0), 54.39 deg, rel. 440
(2 1 1), 60.08 deg, rel. 385

Structural model:
```
data_LiNdO3
_space_group_name_H-M_alt 'P m -3 m'
_space_group_IT_number 221
_space_group_name_Hall '-P 4 2 3'
_cell_length_a 3.772
_cell_length_b 3.772
_cell_length_c 3.772
_cell_angle_alpha 90.00
_cell_angle_beta 90.00
_cell_angle_gamma 90.00
loop_
_atom_site_label
_atom_site_type_symbol
_atom_site_fract_x
_atom_site_fract_y
_atom_site_fract_z
Li1 Li 0.000 0.000 0.000
Nd1 Nd 0.500 0.500 0.500
O1 O 0.000 0.000 0.500
```



For LiNdO2, a crystal structure in the Materials Project, relaxed with GGA-PBE gives the theoretical powder XRD pattern in this record (Cu Kα X-rays).
Peak positions follow from Bragg's law for the DFT cell and can differ from measured ones.

The 6 most intense peaks (15 to 90 degrees two-theta), low angle first:
(1 1 -1), 20.95 deg, rel. 927
(1 1 0), 21.23 deg, rel. 1000
(0 0 2), 30.63 deg, rel. 758
(2 0 -2), 30.80 deg, rel. 337
(0 2 1), 32.67 deg, rel. 534
(2 2 -1), 39.93 deg, rel. 448

Structural model:
```
data_LiNdO2
_space_group_name_H-M_alt 'P 1 21/c 1'
_space_group_IT_number 14
_cell_length_a 6.581
_cell_length_b 6.211
_cell_length_c 6.785
_cell_angle_alpha 90.00
_cell_angle_beta 120.65
_cell_angle_gamma 90.00
loop_
_space_group_symop_operation_xyz
'x,y,z'
'-x,-y,-z'
'-x,y+1/2,-z+1/2'
'x,-y+1/2,z+1/2'
loop_
_atom_site_label
_atom_site_type_symbol
_atom_site_fract_x
_atom_site_fract_y
_atom_site_fract_z
Li1 Li 0.188 0.164 0.279
Nd1 Nd 0.277 0.634 0.241
O1 O 0.053 0.605 0.817
O2 O 0.472 0.192 0.853
```



For LiNdO2, a crystal structure in the Materials Project, relaxed with GGA-PBE gives the theoretical powder XRD pattern in this record (Cu Kα X-rays).
Peak positions follow from Bragg's law for the DFT cell and can differ from measured ones.

The 6 most intense peaks (15 to 90 degrees two-theta), low angle first:
(1 1 0), 21.35 deg, rel. 634
(1 1 -1), 24.43 deg, rel. 1000
(1 1 1), 28.57 deg, rel. 944
(0 0 2), 31.58 deg, rel. 604
(0 2 1), 33.24 deg, rel. 407
(2 1 -1), 35.34 deg, rel. 797

Structural model:
```
data_LiNdO2
_space_group_name_H-M_alt 'P 1 21/c 1'
_space_group_IT_number 14
_cell_length_a 5.813
_cell_length_b 6.129
_cell_length_c 5.801
_cell_angle_alpha 90.00
_cell_angle_beta 102.60
_cell_angle_gamma 90.00
loop_
_space_group_symop_operation_xyz
'x,y,z'
'-x,-y,-z'
'-x,y+1/2,-z+1/2'
'x,-y+1/2,z+1/2'
loop_
_atom_site_label
_atom_site_type_symbol
_atom_site_fract_x
_atom_site_fract_y
_atom_site_fract_z
Li1 Li 0.166 0.140 0.183
Nd1 Nd 0.298 0.571 0.197
O1 O 0.071 0.633 0.796
O2 O 0.414 0.240 0.985
```



What is the formula in the eleventh record? LiNdO2



What is the formula in the second record? Li7NbS6